1.
This entry pairs a crystal structure of Mn2ZnO4 with its simulated powder diffractogram. Radiation: Cu Kα (λ = 1.5418 Å). Structure: a cell relaxed with PBE+U.
No peak broadening, texture or thermal motion is included.

Peak list (10 most intense, 10 to 90 degrees two-theta, in order of rising 2θ)
| hkl | Position (°2θ) | I (rel.) |
| --- | --- | --- |
| 0 0 3 | 17.9 | 13 |
| 1 1 0 | 29.4 | 43 |
| 1 1 3 | 34.6 | 100 |
| 0 1 5 | 34.6 | 36 |
| 0 2 4 | 42.0 | 25 |
| 1 2 5 | 55.5 | 41 |
| 2 2 0 | 60.8 | 31 |
| 2 0 8 | 61.0 | 29 |
| 3 1 5 | 71.9 | 11 |
| 4 1 3 | 86.9 | 13 |

Cell and atoms:
abc: 6.0922 6.0922 14.8562
angles: 90.00 90.00 120.00
Space group R3m (No. 160, hexagonal axes)
Symmetry-distinct sites (fractional):
Mn 0.0000 0.0000 0.0000 (multiplicity 3)
Mn 0.0001 0.5000 0.1199 (multiplicity 9)
Zn 0.0000 0.0000 0.2393 (multiplicity 3)
Zn 0.0000 0.0000 0.6194 (multiplicity 3)
O 0.0000 0.0000 0.3733 (multiplicity 3)
O 0.0000 0.0000 0.8642 (multiplicity 3)
O 0.0326 0.5163 0.3818 (multiplicity 9)
O 0.1810 0.3621 0.1920 (multiplicity 9)

=====

2.
This entry pairs a crystal structure of Li2VCrP2H2O10 with its simulated powder diffractogram. Radiation: Cu Kα (λ = 1.5418 Å). Structure: a cell relaxed with PBE+U.
No peak broadening, texture or thermal motion is included.

Peak list (10 most intense, 10 to 90 degrees two-theta, in order of rising 2θ)
| hkl | Position (°2θ) | I (rel.) |
| --- | --- | --- |
| 1 -1 0 | 17.6 | 35 |
| 0 0 3 | 18.5 | 36 |
| 0 1 2 | 18.8 | 45 |
| 1 0 2 | 22.3 | 26 |
| 1 -1 3 | 25.7 | 35 |
| 1 -2 1 | 25.8 | 29 |
| 0 1 -4 | 26.6 | 100 |
| 1 1 -2 | 26.8 | 100 |
| -1 2 2 | 29.0 | 86 |
| 2 -1 2 | 35.9 | 37 |

Cell and atoms:
abc: 5.427 7.452 14.458
angles: 95.19 92.58 110.49
Space group P1 (No. 1)
Symmetry-distinct sites (fractional):
Li 0.000 0.000 0.000 (multiplicity 1)
Li 0.135 0.929 0.282 (multiplicity 1)
Li 0.334 0.334 0.333 (multiplicity 1)
Li 0.469 0.264 0.616 (multiplicity 1)
Li 0.667 0.667 0.667 (multiplicity 1)
Li 0.802 0.596 0.949 (multiplicity 1)
V 0.400 0.798 0.475 (multiplicity 1)
V 0.734 0.132 0.307 (multiplicity 1)
V 0.734 0.132 0.808 (multiplicity 1)
Cr 0.068 0.465 0.641 (multiplicity 1)
Cr 0.069 0.465 0.141 (multiplicity 1)
Cr 0.401 0.798 0.975 (multiplicity 1)
P 0.047 0.086 0.494 (multiplicity 1)
P 0.089 0.844 0.789 (multiplicity 1)
P 0.380 0.419 0.827 (multiplicity 1)
P 0.422 0.180 0.122 (multiplicity 1)
P 0.713 0.749 0.159 (multiplicity 1)
P 0.755 0.512 0.456 (multiplicity 1)
H 0.023 0.479 0.314 (multiplicity 1)
H 0.116 0.453 0.969 (multiplicity 1)
H 0.354 0.810 0.649 (multiplicity 1)
H 0.444 0.785 0.300 (multiplicity 1)
H 0.688 0.143 0.982 (multiplicity 1)
H 0.781 0.120 0.634 (multiplicity 1)
O 0.020 0.370 0.269 (multiplicity 1)
O 0.024 0.627 0.423 (multiplicity 1)
O 0.033 0.091 0.385 (multiplicity 1)
O 0.104 0.839 0.897 (multiplicity 1)
O 0.110 0.304 0.860 (multiplicity 1)
O 0.115 0.562 0.013 (multiplicity 1)
O 0.149 0.295 0.542 (multiplicity 1)
O 0.204 0.258 0.092 (multiplicity 1)
O 0.263 0.006 0.524 (multiplicity 1)
O 0.321 0.970 0.073 (multiplicity 1)
O 0.352 0.701 0.604 (multiplicity 1)
O 0.358 0.960 0.756 (multiplicity 1)
O 0.364 0.424 0.719 (multiplicity 1)
O 0.437 0.174 0.230 (multiplicity 1)
O 0.441 0.635 0.193 (multiplicity 1)
O 0.452 0.894 0.346 (multiplicity 1)
O 0.481 0.629 0.875 (multiplicity 1)
O 0.539 0.592 0.426 (multiplicity 1)
O 0.597 0.340 0.856 (multiplicity 1)
O 0.653 0.303 0.407 (multiplicity 1)
O 0.684 0.034 0.937 (multiplicity 1)
O 0.694 0.295 0.089 (multiplicity 1)
O 0.696 0.755 0.051 (multiplicity 1)
O 0.771 0.507 0.564 (multiplicity 1)
O 0.777 0.971 0.526 (multiplicity 1)
O 0.784 0.229 0.679 (multiplicity 1)
O 0.815 0.958 0.208 (multiplicity 1)
O 0.872 0.924 0.760 (multiplicity 1)
O 0.931 0.671 0.189 (multiplicity 1)
O 0.987 0.634 0.740 (multiplicity 1)